[1]
Structure and simulated X-ray powder pattern of As2RuAu (a structure optimized by DFT (GGA-PBE); Cu Kα, 1.54184 Å).
Neutral-atom scattering factors, no anomalous dispersion.

Atomic structure:
Cell lengths 2.9672, 2.9672, 8.0578 Å; angles 90.00, 90.00, 90.00 degrees
Space group P4/mmm (No. 123)
Inequivalent atoms, fractional coordinates:
1 As 0.0000 0.0000 0.1984 x2
2 Ru 0.5000 0.5000 0.0000 x1
3 Au 0.5000 0.5000 0.5000 x1

Principal peaks in the range 15° ≤ 2θ ≤ 90°, low angle first:
2theta	I/Imax
22.06	16.8
32.15	17.5
37.65	100.0
43.11	39.4
64.08	13.8
75.42	26.2

[2]
Structure and simulated X-ray powder pattern of ScAsAuS2 (a structure optimized by DFT (GGA-PBE); Cu Kα, 1.54184 Å).
Neutral-atom scattering factors, no anomalous dispersion.

Atomic structure:
Cell lengths 4.7777, 4.7777, 5.3796 Å; angles 90.00, 90.00, 90.00 degrees
Space group P4/mmm (No. 123)
Inequivalent atoms, fractional coordinates:
1 Sc 0.0000 0.0000 0.0000 x1
2 As 0.5000 0.5000 0.5000 x1
3 Au 0.0000 0.0000 0.5000 x1
4 S 0.0000 0.5000 0.0000 x2

Principal peaks in the range 15° ≤ 2θ ≤ 90°, low angle first:
2theta	I/Imax
18.57	53.9
26.38	55.0
31.26	100.0
33.31	35.8
37.65	50.9
51.14	41.3

[3]
Structure and simulated X-ray powder pattern of AsAuSe2S (a structure optimized by DFT (GGA-PBE); Cu Kα, 1.54184 Å).
Neutral-atom scattering factors, no anomalous dispersion.

Atomic structure:
Cell lengths 4.8041, 4.8041, 4.8907 Å; angles 90.00, 90.00, 90.00 degrees
Space group P4/mmm (No. 123)
Inequivalent atoms, fractional coordinates:
1 As 0.0000 0.0000 0.0000 x1
2 Au 0.5000 0.5000 0.0000 x1
3 Se 0.0000 0.5000 0.5000 x2
4 S 0.0000 0.0000 0.5000 x1

Principal peaks in the range 15° ≤ 2θ ≤ 90°, low angle first:
2theta	I/Imax
26.00	25.0
32.08	100.0
36.75	23.5
37.44	44.7
53.47	31.6
64.20	27.5

[4]
Structure and simulated X-ray powder pattern of Th4As2AuS (a structure optimized by DFT (GGA-PBE); Cu Kα, 1.54184 Å).
Neutral-atom scattering factors, no anomalous dispersion.

Atomic structure:
Cell lengths 7.3127, 4.1726, 7.4116 Å; angles 90.00, 109.17, 90.00 degrees
Space group P2/m (No. 10)
Inequivalent atoms, fractional coordinates:
1 Th 0.2419 0.0000 0.2474 x2
2 Th 0.2466 0.5000 0.7492 x2
3 As 0.0000 0.0000 0.5000 x1
4 As 0.5000 0.5000 0.5000 x1
5 Au 0.5000 0.0000 0.0000 x1
6 S 0.0000 0.5000 0.0000 x1

Principal peaks in the range 15° ≤ 2θ ≤ 90°, low angle first:
2theta	I/Imax
26.01	21.8
29.78	50.7
29.95	100.0
42.53	39.2
42.97	37.8
53.50	20.2